The following is a theoretical PXRD pattern of Sr2Cd3Sb4. It was derived from a GGA-PBE-relaxed structure, using Cu Kα X-rays.

Principal peaks in the range 2θ from 15° to 90°, most intense first:
2θ/deg  Rel. int.
32.8  100
31.0  60
29.9  45
31.4  45
33.2  27
42.7  24

```
18
Lattice="3.413 -8.483 0.000 3.413 8.483 0.000 0.000 0.000 9.077" Properties=species:S:1:pos:R:3 pbc="T T T"
Sr 3.413 6.484 8.394
Sr 3.413 1.999 3.855
Sr 3.413 -1.999 5.222
Sr 3.413 -6.484 0.684
Cd 0.000 0.000 4.539
Cd 1.706 3.688 6.808
Cd 1.706 -3.688 2.269
Cd 3.413 0.000 0.000
Cd 5.119 3.688 6.808
Cd 5.119 -3.688 2.269
Sb 3.413 5.326 5.082
Sb 1.706 0.808 6.808
Sb 1.706 -0.808 2.269
Sb 3.413 3.156 0.543
Sb 3.413 -3.156 8.534
Sb 5.119 0.808 6.808
Sb 5.119 -0.808 2.269
Sb 3.413 -5.326 3.995
```


The following is a theoretical PXRD pattern of SrCd8Sb6. It was derived from a GGA-PBE-relaxed structure, using Cu Kα X-rays.

Principal peaks in the range 2θ from 15° to 90°, most intense first:
2θ/deg  Rel. int.
36.2  100
21.5  86
35.5  45
40.5  39
43.2  25
22.8  24

```
30
Lattice="8.588 0.000 0.000 -4.294 7.438 0.000 0.000 0.000 15.630" Properties=species:S:1:pos:R:3 pbc="T T T"
Sr 0.000 0.000 0.000
Sr 0.000 0.000 7.815
Cd -1.271 2.201 4.845
Cd -1.561 2.703 10.429
Cd -2.734 4.735 2.614
Cd -3.023 5.236 12.660
Cd 2.542 0.000 4.845
Cd 1.271 2.201 12.660
Cd 0.000 4.958 6.800
Cd 0.000 4.958 14.615
Cd 3.121 0.000 10.429
Cd 1.561 2.703 2.614
Cd 5.467 0.000 2.614
Cd 2.734 4.735 10.429
Cd 4.294 2.479 6.800
Cd 4.294 2.479 14.615
Cd 6.046 0.000 12.660
Cd 3.023 5.236 4.845
Sb 0.000 0.000 3.429
Sb 0.000 0.000 11.244
Sb -1.633 2.828 7.592
Sb -2.661 4.609 15.407
Sb 0.000 4.958 3.781
Sb 0.000 4.958 11.596
Sb 3.266 0.000 7.592
Sb 1.633 2.828 15.407
Sb 5.322 0.000 15.407
Sb 2.661 4.609 7.592
Sb 4.294 2.479 3.781
Sb 4.294 2.479 11.596
```


The following is a theoretical PXRD pattern of Sr4Cd5Sb6. It was derived from a GGA-PBE-relaxed structure, using Cu Kα X-rays.

Principal peaks in the range 2θ from 15° to 90°, most intense first:
2θ/deg  Rel. int.
31.2  100
38.0  64
39.3  40
21.7  37
28.1  34
25.6  32

```
30
Lattice="2.368 -11.489 0.000 2.368 11.489 0.000 0.000 0.000 17.462" Properties=species:S:1:pos:R:3 pbc="T T T"
Sr 2.368 11.263 8.731
Sr 2.368 10.767 13.678
Sr 2.368 7.667 5.263
Sr 2.368 7.466 16.629
Sr 2.368 -7.466 7.897
Sr 2.368 -7.667 13.994
Sr 2.368 -10.767 4.947
Sr 2.368 -11.263 0.000
Cd 2.368 8.254 11.065
Cd 2.368 4.415 11.063
Cd 2.368 4.029 16.475
Cd 2.368 3.579 4.787
Cd 2.368 1.398 12.236
Cd 2.368 -1.398 3.505
Cd 2.368 -3.579 13.518
Cd 2.368 -4.029 7.744
Cd 2.368 -4.415 2.332
Cd 2.368 -8.254 2.333
Sb 2.368 8.983 2.143
Sb 2.368 6.381 8.900
Sb 2.368 6.214 13.367
Sb 2.368 1.911 7.099
Sb 2.368 1.521 15.180
Sb 2.368 1.387 2.387
Sb 2.368 -1.387 11.118
Sb 2.368 -1.521 6.448
Sb 2.368 -1.911 15.831
Sb 2.368 -6.214 4.636
Sb 2.368 -6.381 0.169
Sb 2.368 -8.983 10.875
```


The following is a theoretical PXRD pattern of TaCd2Sb. It was derived from a GGA-PBE-relaxed structure, using Cu Kα X-rays.

Principal peaks in the range 2θ from 15° to 90°, most intense first:
2θ/deg  Rel. int.
36.7  100
34.0  31
38.7  21
62.6  20
52.5  17
68.8  15

```
8
Lattice="3.444 0.000 0.000 0.000 4.648 0.000 0.000 0.000 10.557" Properties=species:S:1:pos:R:3 pbc="T T T"
Ta 0.000 0.000 0.000
Ta 1.722 2.324 5.279
Cd 0.000 2.324 2.695
Cd 0.000 2.324 7.862
Cd 1.722 0.000 2.584
Cd 1.722 0.000 7.974
Sb 0.000 0.000 5.279
Sb 1.722 2.324 0.000
```